Entry 1:
Diffraction record for La3Sm4Au4. The powder diffractogram is computed, not measured: it uses DFT lattice parameters and positions (GGA-PBE) and Cu Kα.
Lines closer than 0.1° are merged.

Structure:
a b c (Å): 4.982 7.869 16.258
angles (deg): 90.00 90.00 90.00
Space group Immm (No. 71)
Inequivalent atoms, fractional coordinates:
La: 0.000 0.000 0.000
La: 0.000 0.500 0.100
Sm: 0.000 0.282 0.327
Au: 0.000 0.000 0.203
Au: 0.000 0.191 0.500

Principal peaks in the range 15° ≤ 2θ ≤ 90°, in order of rising 2θ:
two_theta	intensity	hkl
19.89	15	0 1 3
29.44	100	1 2 1
29.73	25	0 1 5
30.57	41	1 1 4
33.06	17	0 0 6
33.40	18	1 2 3
36.05	45	2 0 0
40.28	35	1 2 5
40.42	43	0 2 6
44.37	14	0 3 5
47.40	14	2 1 5
67.72	14	3 2 5

---

Entry 2:
Diffraction record for Mg14ZnMo. The powder diffractogram is computed, not measured: it uses DFT lattice parameters and positions (GGA-PBE) and Cu Kα.
Lines closer than 0.1° are merged.

Structure:
a b c (Å): 6.2314 6.2314 10.0339
angles (deg): 90.00 90.00 120.00
Space group P-6m2 (No. 187)
Inequivalent atoms, fractional coordinates:
Mg: 0.0000 0.0000 0.2490
Mg: 0.0140 0.5070 0.2444
Mg: 0.3341 0.1670 0.5000
Mg: 0.3346 0.1673 0.0000
Zn: 0.3333 0.6667 0.5000
Mo: 0.3333 0.6667 0.0000

Principal peaks in the range 15° ≤ 2θ ≤ 90°, in order of rising 2θ:
two_theta	intensity	hkl
16.43	30	1 0 0
24.22	18	1 0 2
33.20	27	2 0 0
33.87	9	1 1 2
35.80	26	0 0 4
37.86	100	2 0 2
48.16	8	2 1 2
49.62	17	2 0 4
59.32	17	2 2 0
65.69	18	2 0 6
71.26	18	2 2 4
72.56	13	4 0 2

---

Entry 3:
Diffraction record for KLi2BrCl2. The powder diffractogram is computed, not measured: it uses DFT lattice parameters and positions (GGA-PBE) and Cu Kα.
Lines closer than 0.1° are merged.

Structure:
a b c (Å): 6.633 5.978 9.395
angles (deg): 90.00 108.62 90.00
Space group P2_1/m (No. 11)
Inequivalent atoms, fractional coordinates:
K: 0.140 0.250 0.385
Li: 0.380 0.005 0.824
Br: 0.310 0.750 0.025
Cl: 0.102 0.250 0.710
Cl: 0.409 0.750 0.646

Principal peaks in the range 15° ≤ 2θ ≤ 90°, in order of rising 2θ:
two_theta	intensity	hkl
20.74	37	1 1 -1
24.75	100	1 1 1
24.94	46	0 1 2
25.34	75	1 1 -2
29.08	40	2 0 -2
29.89	69	0 2 0
30.11	41	0 0 3
32.18	87	2 1 0
32.61	30	1 1 -3
42.19	33	2 2 -2
42.94	39	0 2 3
50.95	26	2 1 3

---

Entry 4:
Diffraction record for Cu2SiSe. The powder diffractogram is computed, not measured: it uses DFT lattice parameters and positions (GGA-PBE) and Cu Kα.
Lines closer than 0.1° are merged.

Structure:
a b c (Å): 2.736 2.960 7.465
angles (deg): 90.00 90.01 90.00
Space group P2/m (No. 10)
Inequivalent atoms, fractional coordinates:
Cu: 0.005 0.000 0.293
Si: 0.500 0.500 0.500
Se: 0.000 0.500 0.000

Principal peaks in the range 15° ≤ 2θ ≤ 90°, in order of rising 2θ:
two_theta	intensity	hkl
32.54	24	0 1 1
32.73	56	1 0 0
36.09	27	0 0 3
38.83	100	0 1 2
46.82	47	1 1 1
48.80	15	0 0 4
49.51	40	1 0 3
51.66	48	1 1 -2
62.78	13	0 2 0
80.07	30	1 1 5
81.71	21	2 1 -2
83.87	17	1 2 3

---

Entry 5:
Diffraction record for Zr2ScCo3. The powder diffractogram is computed, not measured: it uses DFT lattice parameters and positions (GGA-PBE) and Cu Kα.
Lines closer than 0.1° are merged.

Structure:
a b c (Å): 4.4931 4.4931 10.9978
angles (deg): 90.00 90.00 120.00
Space group P-3m1 (No. 164)
Inequivalent atoms, fractional coordinates:
Zr: 0.0000 0.0000 0.0000
Zr: 0.0000 0.0000 0.5000
Zr: 0.3333 0.6667 0.1714
Sc: 0.3333 0.6667 0.6650
Co: 0.0000 0.0000 0.2486
Co: 0.3333 0.6667 0.4175
Co: 0.3333 0.6667 0.9192

Principal peaks in the range 15° ≤ 2θ ≤ 90°, in order of rising 2θ:
two_theta	intensity	hkl
22.85	1	1 0 0
24.27	4	1 0 1
28.09	2	0 1 2
40.15	100	1 1 0
47.47	2	0 2 1
49.72	1	2 0 2
58.08	16	0 2 4
63.87	1	2 1 1
65.73	1	1 2 2
72.95	31	3 0 0
78.19	1	1 2 5
86.70	10	2 2 0

---

Entry 6:
Diffraction record for Li2HfPbO. The powder diffractogram is computed, not measured: it uses DFT lattice parameters and positions (GGA-PBE) and Cu Kα.
Lines closer than 0.1° are merged.

Structure:
a b c (Å): 4.246 4.246 4.291
angles (deg): 90.00 90.00 90.00
Space group P4/mmm (No. 123)
Inequivalent atoms, fractional coordinates:
Li: 0.000 0.500 0.000
Hf: 0.000 0.000 0.500
Pb: 0.500 0.500 0.500
O: 0.000 0.000 0.000

Principal peaks in the range 15° ≤ 2θ ≤ 90°, in order of rising 2θ:
two_theta	intensity	hkl
20.70	90	0 0 1
29.76	92	1 1 0
36.53	100	1 1 1
42.12	20	0 0 2
42.58	39	2 0 0
47.80	43	2 0 1
52.42	38	1 1 2
61.44	26	2 0 2
65.92	17	2 2 1
70.08	16	3 1 0
73.97	27	3 1 1
85.27	20	3 1 2

---

Number 5 is which compound? Zr2ScCo3